For NpTeHSe, a GGA-PBE-relaxed structure gives the computed PXRD pattern in this record (copper Kα).

Cell and atoms:
Unit cell a=6.6760 b=3.8543 c=7.5192 alpha=90.00 beta=107.37 gamma=90.00
Space group Cm (No. 8)
Inequivalent atoms, fractional coordinates:
Np 0.0000 0.0000 0.0000
Te 0.2353 0.0000 0.7089
H 0.1613 0.5000 0.9841
Se 0.4138 0.0000 0.2393

Principal peaks in the range 10 to 80 degrees two-theta, low angle first:
two_theta  Rel. int.
12.33  100
27.03  65
31.54  79
33.98  94
39.86  30
47.16  49

For Nd8Sm6Sc, a GGA-PBE-relaxed structure gives the computed PXRD pattern in this record (copper Kα).

Cell and atoms:
Unit cell a=9.2394 b=9.2394 c=20.9408 alpha=90.00 beta=90.00 gamma=120.00
Space group R-3 (No. 148, hexagonal axes)
Inequivalent atoms, fractional coordinates:
Nd 0.0000 0.0000 0.0781
Nd 0.0822 0.5587 0.3053
Sm 0.0543 0.2495 0.2068
Sc 0.0000 0.0000 0.5000

Principal peaks in the range 10 to 80 degrees two-theta, low angle first:
two_theta  Rel. int.
29.85  57
30.77  100
30.91  69
31.94  50
32.14  27
36.05  26

For K2NpRh3O12, a GGA-PBE-relaxed structure gives the computed PXRD pattern in this record (copper Kα).

Cell and atoms:
Unit cell a=7.1788 b=7.1788 c=18.7080 alpha=90.00 beta=90.00 gamma=120.00
Space group R-3m (No. 166, hexagonal axes)
Inequivalent atoms, fractional coordinates:
K 0.0000 0.0000 0.1085
Np 0.0000 0.0000 0.5000
Rh 0.0000 0.5000 0.0000
O 0.0672 0.5336 0.3529
O 0.0689 0.5344 0.1049

Principal peaks in the range 10 to 80 degrees two-theta, low angle first:
two_theta  Rel. int.
15.02  100
27.83  40
28.68  81
30.30  58
48.73  22
50.89  24

For La2Pm4Pr2Mg, a GGA-PBE-relaxed structure gives the computed PXRD pattern in this record (copper Kα).

Cell and atoms:
Unit cell a=6.5823 b=6.6280 c=7.7283 alpha=74.57 beta=75.00 gamma=85.27
Space group P-1 (No. 2)
Inequivalent atoms, fractional coordinates:
La 0.1873 0.1248 0.2792
Pm 0.2107 0.1680 0.8089
Pm 0.3208 0.6691 0.0927
Pr 0.3713 0.7042 0.6107
Mg 0.0000 0.5000 0.5000

Principal peaks in the range 10 to 80 degrees two-theta, low angle first:
two_theta  Rel. int.
28.07  32
31.22  78
31.41  79
31.55  86
31.78  75
32.61  100